Theoretical XRD peak list
Compound: Pu5Ag3Au3
Radiation: Cu Kα (weighted mean of Kα1 and Kα2)
Structure: a structure optimized by DFT (GGA-PBE)
Intensities are scaled so that the largest is 1000.

Structural model:
```
data_Pu5Ag3Au3
_cell_length_a 2.874
_cell_length_b 18.236
_cell_length_c 9.617
_cell_angle_alpha 90.00
_cell_angle_beta 90.00
_cell_angle_gamma 90.00
_symmetry_space_group_name_H-M 'A m m 2'
_symmetry_Int_Tables_number 38
loop_
_symmetry_equiv_pos_as_xyz
'x,y,z'
'-x,-y,z'
'-x,y,z'
'x,-y,z'
'x,y+1/2,z+1/2'
'-x,-y+1/2,z+1/2'
'-x,y+1/2,z+1/2'
'x,-y+1/2,z+1/2'
loop_
_atom_site_label
_atom_site_type_symbol
_atom_site_fract_x
_atom_site_fract_y
_atom_site_fract_z
_atom_site_occupancy
Pu1 Pu 0.000 0.000 0.000 1
Pu2 Pu 0.000 0.094 0.820 1
Pu3 Pu 0.000 0.161 0.480 1
Ag1 Ag 0.000 0.000 0.314 1
Ag2 Ag 0.000 0.142 0.145 1
Au1 Au 0.500 0.000 0.578 1
Au2 Au 0.500 0.235 0.748 1
```

Peak list (8 most intense, 2θ from 10° to 90°, by intensity)
2theta  intensity  (hkl)
31.55  1000  0 3 3
34.92  981  0 6 2
35.76  735  0 7 1
44.91  637  1 3 3
36.98  501  1 4 0
37.78  479  1 2 2
10.40  463  0 1 1
58.54  448  1 6 4